Diffraction record for MgCo5P8O28. The powder diffraction line list is computed, not measured: it uses a crystal structure in the Materials Project, relaxed with GGA+U and copper Kα.
Kinematic intensities with the Lorentz-polarization factor, no thermal factor.

Most intense lines, 2θ = 10–90°, low angle first:
| 2theta | I (rel.) |
| --- | --- |
| 11.9 | 54 |
| 17.3 | 68 |
| 17.7 | 74 |
| 21.9 | 44 |
| 23.9 | 52 |
| 25.0 | 59 |
| 27.2 | 66 |
| 27.4 | 91 |
| 27.7 | 100 |
| 33.8 | 41 |

Crystal structure
Cell: 7.4769 7.8897 10.2174 Å, 71.18 89.00 86.39°
Atoms (fractional coordinates):
Mg: 0.0000 0.0000 0.0000
Co: 0.0000 0.0000 0.5000
Co: 0.2494 0.3427 0.4397
Co: 0.2598 0.3710 0.8970
Co: 0.7402 0.6290 0.1030
Co: 0.7506 0.6573 0.5603
P: 0.0244 0.2688 0.1928
P: 0.2169 0.0483 0.7542
P: 0.3186 0.6926 0.1953
P: 0.3379 0.7119 0.4805
P: 0.6621 0.2881 0.5195
P: 0.6814 0.3074 0.8047
P: 0.7831 0.9517 0.2458
P: 0.9756 0.7312 0.8072
O: 0.0502 0.9132 0.8226
O: 0.1054 0.2029 0.3418
O: 0.1335 0.5973 0.8188
O: 0.1435 0.1497 0.6034
O: 0.1655 0.3161 0.0815
O: 0.1804 0.1668 0.8493
O: 0.2024 0.8537 0.5003
O: 0.2080 0.5291 0.2685
O: 0.2082 0.8402 0.0945
O: 0.2680 0.5230 0.5352
O: 0.3821 0.7629 0.3203
O: 0.3907 0.9472 0.7636
O: 0.4871 0.2682 0.4492
O: 0.4922 0.6339 0.1371
O: 0.5078 0.3661 0.8629
O: 0.5129 0.7318 0.5508
O: 0.6093 0.0528 0.2364
O: 0.6179 0.2371 0.6797
O: 0.7320 0.4770 0.4648
O: 0.7918 0.1598 0.9055
O: 0.7920 0.4709 0.7315
O: 0.7976 0.1463 0.4997
O: 0.8196 0.8332 0.1507
O: 0.8345 0.6839 0.9185
O: 0.8565 0.8503 0.3966
O: 0.8665 0.4027 0.1812
O: 0.8946 0.7971 0.6582
O: 0.9498 0.0868 0.1774


Diffraction record for MgV4O8. The powder diffraction line list is computed, not measured: it uses a crystal structure in the Materials Project, relaxed with GGA+U and copper Kα.
Kinematic intensities with the Lorentz-polarization factor, no thermal factor.

Most intense lines, 2θ = 10–90°, low angle first:
| 2theta | I (rel.) |
| --- | --- |
| 23.5 | 81 |
| 26.9 | 100 |
| 31.8 | 31 |
| 34.5 | 32 |
| 35.7 | 47 |
| 36.3 | 40 |
| 39.3 | 54 |
| 50.6 | 38 |
| 54.3 | 45 |
| 63.9 | 31 |

Crystal structure
Cell: 5.6697 5.6697 5.1914 Å, 96.66 96.66 61.08°
Atoms (fractional coordinates):
Mg: 0.0000 0.0000 0.0000
V: 0.2411 0.7589 0.5000
V: 0.2900 0.2900 0.9221
V: 0.7100 0.7100 0.0779
V: 0.7589 0.2411 0.5000
O: 0.0979 0.6230 0.1481
O: 0.1028 0.1028 0.3523
O: 0.3770 0.9021 0.8519
O: 0.3970 0.3970 0.6741
O: 0.6030 0.6030 0.3259
O: 0.6230 0.0979 0.1481
O: 0.8972 0.8972 0.6477
O: 0.9021 0.3770 0.8519


Diffraction record for BaVO3. The powder diffraction line list is computed, not measured: it uses a crystal structure in the Materials Project, relaxed with GGA+U and copper Kα.
Kinematic intensities with the Lorentz-polarization factor, no thermal factor.

Most intense lines, 2θ = 10–90°, low angle first:
| 2theta | I (rel.) |
| --- | --- |
| 23.4 | 30 |
| 29.0 | 77 |
| 31.0 | 100 |
| 35.5 | 18 |
| 39.1 | 27 |
| 42.9 | 50 |
| 50.1 | 17 |
| 53.8 | 25 |
| 55.1 | 19 |
| 64.5 | 20 |

Crystal structure
Cell: 5.7779 5.7779 11.7410 Å, 90.00 90.00 120.00°
Atoms (fractional coordinates):
Ba: 0.0000 0.0000 0.0000
Ba: 0.3333 0.6667 0.4056
Ba: 0.3333 0.6667 0.7900
Ba: 0.6667 0.3333 0.2100
Ba: 0.6667 0.3333 0.5944
V: 0.0000 0.0000 0.2766
V: 0.0000 0.0000 0.5000
V: 0.0000 0.0000 0.7234
V: 0.3333 0.6667 0.0917
V: 0.6667 0.3333 0.9083
O: 0.0000 0.5000 0.0000
O: 0.1500 0.3000 0.6005
O: 0.1500 0.8500 0.6005
O: 0.1664 0.3328 0.1998
O: 0.1664 0.8336 0.1998
O: 0.3000 0.1500 0.3995
O: 0.3328 0.1664 0.8002
O: 0.5000 0.0000 0.0000
O: 0.5000 0.5000 0.0000
O: 0.6672 0.8336 0.1998
O: 0.7000 0.8500 0.6005
O: 0.8336 0.1664 0.8002
O: 0.8336 0.6672 0.8002
O: 0.8500 0.1500 0.3995
O: 0.8500 0.7000 0.3995


Diffraction record for Cs4Fe3F10. The powder diffraction line list is computed, not measured: it uses a crystal structure in the Materials Project, relaxed with GGA+U and copper Kα.
Kinematic intensities with the Lorentz-polarization factor, no thermal factor.

Most intense lines, 2θ = 10–90°, low angle first:
| 2theta | I (rel.) |
| --- | --- |
| 24.0 | 14 |
| 24.9 | 30 |
| 26.0 | 100 |
| 27.5 | 43 |
| 29.6 | 22 |
| 37.0 | 21 |
| 37.5 | 43 |
| 44.6 | 14 |
| 47.8 | 17 |
| 53.5 | 16 |

Crystal structure
Cell: 8.0194 8.0194 14.2906 Å, 90.00 90.00 132.37°
Atoms (fractional coordinates):
Cs: 0.0427 0.9573 0.8615
Cs: 0.2457 0.7543 0.6091
Cs: 0.2543 0.7457 0.1091
Cs: 0.4573 0.5427 0.3615
Cs: 0.5427 0.4573 0.6385
Cs: 0.7457 0.2543 0.8909
Cs: 0.7543 0.2457 0.3909
Cs: 0.9573 0.0427 0.1385
Fe: 0.0000 0.0000 0.5000
Fe: 0.1215 0.8785 0.3464
Fe: 0.3785 0.6215 0.8464
Fe: 0.5000 0.5000 0.0000
Fe: 0.6215 0.3785 0.1536
Fe: 0.8785 0.1215 0.6536
F: 0.0233 0.9767 0.6474
F: 0.1185 0.3164 0.5340
F: 0.1342 0.3658 0.7500
F: 0.1836 0.3815 0.9660
F: 0.2442 0.7558 0.8569
F: 0.2558 0.7442 0.3569
F: 0.3164 0.1185 0.4660
F: 0.3658 0.1342 0.2500
F: 0.3815 0.1836 0.0340
F: 0.4767 0.5233 0.1474
F: 0.5233 0.4767 0.8526
F: 0.6185 0.8164 0.9660
F: 0.6342 0.8658 0.7500
F: 0.6836 0.8815 0.5340
F: 0.7442 0.2558 0.6431
F: 0.7558 0.2442 0.1431
F: 0.8164 0.6185 0.0340
F: 0.8658 0.6342 0.2500
F: 0.8815 0.6836 0.4660
F: 0.9767 0.0233 0.3526


Diffraction record for Li4CoNi3P4O16. The powder diffraction line list is computed, not measured: it uses a crystal structure in the Materials Project, relaxed with GGA+U and copper Kα.
Kinematic intensities with the Lorentz-polarization factor, no thermal factor.

Most intense lines, 2θ = 10–90°, low angle first:
| 2theta | I (rel.) |
| --- | --- |
| 17.5 | 40 |
| 20.7 | 48 |
| 25.6 | 89 |
| 30.1 | 60 |
| 32.5 | 20 |
| 36.0 | 100 |
| 36.8 | 25 |
| 42.1 | 20 |
| 52.6 | 36 |
| 57.3 | 24 |

Crystal structure
Cell: 4.7323 5.9414 10.1525 Å, 90.00 90.02 90.00°
Atoms (fractional coordinates):
Li: 0.0000 0.2504 0.0000
Li: 0.0000 0.7496 0.0000
Li: 0.4984 0.2497 0.5000
Li: 0.4984 0.7503 0.5000
Co: 0.5237 0.0000 0.7785
Ni: 0.0186 0.5000 0.7229
Ni: 0.4792 0.5000 0.2245
Ni: 0.9789 0.0000 0.2757
P: 0.0819 0.0000 0.5928
P: 0.4147 0.0000 0.0950
P: 0.5827 0.5000 0.9053
P: 0.9145 0.5000 0.4052
O: 0.2004 0.0000 0.4497
O: 0.2228 0.2072 0.6638
O: 0.2228 0.7928 0.6638
O: 0.2386 0.5000 0.3994
O: 0.2591 0.5000 0.8994
O: 0.2732 0.2075 0.1655
O: 0.2732 0.7925 0.1655
O: 0.2968 0.0000 0.9521
O: 0.6998 0.5000 0.0484
O: 0.7257 0.2940 0.8335
O: 0.7257 0.7060 0.8335
O: 0.7390 0.0000 0.0994
O: 0.7583 0.0000 0.5979
O: 0.7727 0.2930 0.3340
O: 0.7727 0.7070 0.3340
O: 0.7972 0.5000 0.5483


Diffraction record for BaTeMo2O9. The powder diffraction line list is computed, not measured: it uses a crystal structure in the Materials Project, relaxed with GGA+U and copper Kα.
Kinematic intensities with the Lorentz-polarization factor, no thermal factor.

Most intense lines, 2θ = 10–90°, low angle first:
| 2theta | I (rel.) |
| --- | --- |
| 21.8 | 42 |
| 25.3 | 60 |
| 25.5 | 61 |
| 27.8 | 69 |
| 27.9 | 22 |
| 30.0 | 100 |
| 32.1 | 26 |
| 35.0 | 24 |
| 41.8 | 29 |
| 47.0 | 19 |

Crystal structure
Cell: 5.7023 7.5871 9.0099 Å, 90.00 90.45 90.00°
Atoms (fractional coordinates):
Ba: 0.2209 0.0000 0.4345
Ba: 0.7791 0.5000 0.5655
Te: 0.1096 0.7327 0.9174
Te: 0.8904 0.2327 0.0826
Mo: 0.2771 0.4765 0.2675
Mo: 0.2835 0.2959 0.8251
Mo: 0.7165 0.7959 0.1749
Mo: 0.7229 0.9765 0.7325
O: 0.0011 0.8495 0.6974
O: 0.0341 0.5119 0.8291
O: 0.0416 0.6515 0.1243
O: 0.2112 0.2715 0.6341
O: 0.2127 0.3156 0.0589
O: 0.2629 0.6314 0.4140
O: 0.4757 0.0967 0.8568
O: 0.4796 0.3216 0.3399
O: 0.4936 0.9559 0.1760
O: 0.5064 0.4559 0.8240
O: 0.5204 0.8216 0.6601
O: 0.5243 0.5967 0.1432
O: 0.7371 0.1314 0.5860
O: 0.7873 0.8156 0.9411
O: 0.7888 0.7715 0.3659
O: 0.9584 0.1515 0.8757
O: 0.9659 0.0119 0.1709
O: 0.9989 0.3495 0.3026


Diffraction record for MgTi2Fe4O8. The powder diffraction line list is computed, not measured: it uses a crystal structure in the Materials Project, relaxed with GGA+U and copper Kα.
Kinematic intensities with the Lorentz-polarization factor, no thermal factor.

Most intense lines, 2θ = 10–90°, low angle first:
| 2theta | I (rel.) |
| --- | --- |
| 33.6 | 62 |
| 33.9 | 90 |
| 34.4 | 55 |
| 34.5 | 100 |
| 40.8 | 82 |
| 41.7 | 81 |
| 44.9 | 54 |
| 52.8 | 56 |
| 61.0 | 57 |
| 61.2 | 54 |

Crystal structure
Cell: 6.0576 6.0576 6.4449 Å, 119.09 119.09 60.25°
Atoms (fractional coordinates):
Mg: 0.0000 0.0000 0.0000
Ti: 0.5000 0.5000 0.0000
Ti: 0.5000 0.5000 0.5000
Fe: 0.0000 0.5000 0.0000
Fe: 0.1890 0.1890 0.4747
Fe: 0.5000 0.0000 0.0000
Fe: 0.8110 0.8110 0.5253
O: 0.2449 0.7325 0.7631
O: 0.2621 0.2621 0.2517
O: 0.2675 0.7551 0.2369
O: 0.2719 0.2719 0.8232
O: 0.7281 0.7281 0.1768
O: 0.7325 0.2449 0.7631
O: 0.7379 0.7379 0.7483
O: 0.7551 0.2675 0.2369